Entry 1:
Simulated XRD peak list
Compound: Hf2Al3Ir
Radiation: Cu Kα (λ = 1.5418 Å)
Structure: a structure optimized by DFT (PBE)
No peak broadening, texture or thermal motion is included.

Largest 8 diffraction maxima, by intensity, 10° ≤ 2θ ≤ 80°:
two_theta	I_rel	index
40.44	100	1 1 3
34.15	90	1 1 0
21.01	52	0 0 3
40.72	40	0 1 5
65.41	25	3 0 3
65.61	20	1 2 5
61.15	17	3 0 0
24.08	17	0 1 2

abc: 5.2504 5.2504 12.6877
angles: 90.00 90.00 120.00
Space group R-3m (No. 166, hexagonal axes)
One atom of each set of equivalent atoms:
Hf: 0.0000 0.0000 0.1289 x6
Al: 0.0000 0.5000 0.0000 x9
Ir: 0.0000 0.0000 0.5000 x3



Entry 2:
Simulated XRD peak list
Compound: NdHo2Tl2Cd2
Radiation: Cu Kα (λ = 1.5418 Å)
Structure: a structure optimized by DFT (PBE)
No peak broadening, texture or thermal motion is included.

Largest 8 diffraction maxima, by intensity, 10° ≤ 2θ ≤ 80°:
two_theta	I_rel	index
31.43	100	1 0 7
35.65	96	1 1 0
48.26	30	0 2 7
61.42	29	2 1 7
34.16	19	0 1 8
64.04	17	3 0 0
75.51	12	2 2 0
64.81	12	1 1 15

abc: 5.0364 5.0364 26.2881
angles: 90.00 90.00 120.00
Space group R-3m (No. 166, hexagonal axes)
One atom of each set of equivalent atoms:
Nd: 0.0000 0.0000 0.0000 x3
Ho: 0.0000 0.0000 0.1342 x6
Tl: 0.0000 0.0000 0.2675 x6
Cd: 0.0000 0.0000 0.4328 x6



Entry 3:
Simulated XRD peak list
Compound: CrHgCl2
Radiation: Cu Kα (λ = 1.5418 Å)
Structure: a structure optimized by DFT (PBE)
No peak broadening, texture or thermal motion is included.

Largest 8 diffraction maxima, by intensity, 10° ≤ 2θ ≤ 80°:
two_theta	I_rel	index
16.29	100	2 0 -1
26.92	60	2 0 1
27.33	45	1 1 0
29.65	39	1 1 -1
34.16	37	3 1 -1
33.39	26	1 1 1
27.77	25	2 0 -2
43.51	24	3 1 1

abc: 12.6143 3.4116 6.4354
angles: 90.00 117.34 90.00
Space group Cm (No. 8)
One atom of each set of equivalent atoms:
Cr: 0.0000 0.0000 0.0000 x2
Hg: 0.2725 0.5000 0.5330 x2
Cl: 0.0854 0.5000 0.8722 x2
Cl: 0.4283 0.0000 0.1553 x2



Copy entry 1 word for word.
Simulated XRD peak list
Compound: Hf2Al3Ir
Radiation: Cu Kα (λ = 1.5418 Å)
Structure: a structure optimized by DFT (PBE)
No peak broadening, texture or thermal motion is included.

Largest 8 diffraction maxima, by intensity, 10° ≤ 2θ ≤ 80°:
two_theta	I_rel	index
40.44	100	1 1 3
34.15	90	1 1 0
21.01	52	0 0 3
40.72	40	0 1 5
65.41	25	3 0 3
65.61	20	1 2 5
61.15	17	3 0 0
24.08	17	0 1 2

abc: 5.2504 5.2504 12.6877
angles: 90.00 90.00 120.00
Space group R-3m (No. 166, hexagonal axes)
One atom of each set of equivalent atoms:
Hf: 0.0000 0.0000 0.1289 x6
Al: 0.0000 0.5000 0.0000 x9
Ir: 0.0000 0.0000 0.5000 x3